The following is a computed XRD peak list of AcZnBiSe. It was derived from a DFT-relaxed cell (GGA-PBE, Alexandria), using Cu Kα.

Top 10 peaks for 10° ≤ 2θ ≤ 90°, low angle first:
24.56 deg, 3.625 Å, intensity 36, hkl 1 1 0
26.53 deg, 3.360 Å, intensity 100, hkl 1 0 2
31.85 deg, 2.810 Å, intensity 74, hkl 1 1 2
35.00 deg, 2.564 Å, intensity 75, hkl 2 0 0
44.44 deg, 2.039 Å, intensity 77, hkl 1 0 4
50.34 deg, 1.813 Å, intensity 30, hkl 2 2 0
57.76 deg, 1.596 Å, intensity 40, hkl 2 1 4
60.82 deg, 1.523 Å, intensity 24, hkl 3 1 2
69.38 deg, 1.355 Å, intensity 21, hkl 3 0 4
80.13 deg, 1.198 Å, intensity 20, hkl 3 2 4

Structural model:
a b c (Å): 5.1262 5.1262 8.8976
angles (deg): 90.00 90.00 90.00
Positions (direct):
Ac  0.2500  0.2500  0.1881
Ac  0.7500  0.7500  0.8119
Zn  0.2500  0.7500  0.5000
Zn  0.7500  0.2500  0.5000
Bi  0.2500  0.2500  0.6532
Bi  0.7500  0.7500  0.3468
Se  0.2500  0.7500  0.0000
Se  0.7500  0.2500  0.0000